Entry 1:
This entry pairs a crystal structure of Ac2SmYHo with its simulated powder diffraction line list. Radiation: a wavelength of 1.5418 Å. Structure: a cell relaxed with PBE.
Intensities are scaled so that the largest is 100.

Structure:
abc: 6.4326 8.9545 6.7312
angles: 90.00 90.00 90.00
Positions (direct):
Ac 0.2500 0.2039 0.2092
Ac 0.2500 0.7961 0.2092
Ac 0.7500 0.2039 0.7908
Ac 0.7500 0.7961 0.7908
Sm 0.2500 0.5000 0.9166
Sm 0.7500 0.5000 0.0834
Y 0.2500 0.0000 0.6813
Y 0.7500 0.0000 0.3187
Ho 0.0000 0.5000 0.5000
Ho 0.5000 0.5000 0.5000

Largest 12 diffraction maxima, low angle first, 2θ = 10–90°:
2θ/deg, d_spacing, intensity
19.1, 4.651, 25
27.7, 3.224, 100
28.3, 3.150, 24
29.9, 2.984, 22
30.8, 2.902, 15
31.6, 2.829, 15
32.4, 2.761, 18
33.3, 2.690, 23
35.7, 2.512, 17
38.7, 2.325, 18
43.5, 2.081, 16
49.0, 1.859, 17

Entry 2:
This entry pairs a crystal structure of Ac5HoSn5 with its simulated powder diffraction line list. Radiation: a wavelength of 1.5418 Å. Structure: a cell relaxed with PBE.
Intensities are scaled so that the largest is 100.

Structure:
abc: 9.1541 9.1541 7.7834
angles: 105.64 105.64 41.34
Positions (direct):
Ac 0.0000 0.0000 0.0000
Ac 0.3141 0.3141 0.2159
Ac 0.3530 0.3530 0.7275
Ac 0.6470 0.6470 0.2725
Ac 0.6859 0.6859 0.7841
Ho 0.0000 0.0000 0.5000
Sn 0.1607 0.1607 0.8394
Sn 0.1629 0.1629 0.4199
Sn 0.5000 0.5000 0.5000
Sn 0.8371 0.8371 0.5801
Sn 0.8393 0.8393 0.1606

Largest 12 diffraction maxima, low angle first, 2θ = 10–90°:
2θ/deg, d_spacing, intensity
21.3, 4.174, 38
26.7, 3.342, 23
27.3, 3.266, 61
27.6, 3.231, 100
29.0, 3.075, 57
29.5, 3.028, 29
32.8, 2.734, 49
33.7, 2.656, 21
39.2, 2.297, 48
40.5, 2.228, 47
43.4, 2.087, 46
48.9, 1.861, 22

Entry 3:
This entry pairs a crystal structure of Ac4HoSn5 with its simulated powder diffraction line list. Radiation: a wavelength of 1.5418 Å. Structure: a cell relaxed with PBE.
Intensities are scaled so that the largest is 100.

Structure:
abc: 3.8000 3.8000 22.3972
angles: 90.00 90.00 90.00
Positions (direct):
Ac 0.0000 0.0000 0.1036
Ac 0.0000 0.0000 0.3112
Ac 0.0000 0.0000 0.6888
Ac 0.0000 0.0000 0.8964
Ho 0.0000 0.0000 0.5000
Sn 0.5000 0.5000 0.0000
Sn 0.5000 0.5000 0.2073
Sn 0.5000 0.5000 0.4143
Sn 0.5000 0.5000 0.5857
Sn 0.5000 0.5000 0.7927

Largest 12 diffraction maxima, low angle first, 2θ = 10–90°:
2θ/deg, d_spacing, intensity
23.4, 3.800, 7
30.9, 2.898, 100
33.3, 2.687, 44
40.3, 2.240, 10
47.9, 1.900, 16
53.2, 1.720, 18
58.0, 1.589, 35
64.3, 1.449, 10
67.4, 1.390, 7
78.5, 1.219, 7
79.8, 1.202, 8
86.8, 1.122, 7

Entry 4:
This entry pairs a crystal structure of AcHo2Sn with its simulated powder diffraction line list. Radiation: a wavelength of 1.5418 Å. Structure: a cell relaxed with PBE.
Intensities are scaled so that the largest is 100.

Structure:
abc: 5.0170 5.0170 4.9131
angles: 90.00 90.00 90.00
Positions (direct):
Ac 0.0000 0.0000 0.0000
Ho 0.0000 0.5000 0.5000
Ho 0.5000 0.0000 0.5000
Sn 0.5000 0.5000 0.0000

Largest 12 diffraction maxima, low angle first, 2θ = 10–90°:
2θ/deg, d_spacing, intensity
31.1, 2.876, 100
35.8, 2.509, 35
36.6, 2.457, 16
51.5, 1.774, 12
52.1, 1.755, 24
61.4, 1.510, 30
62.5, 1.487, 14
64.8, 1.438, 13
84.2, 1.150, 6
85.1, 1.140, 12
86.8, 1.122, 6
87.3, 1.117, 6

Entry 5:
This entry pairs a crystal structure of Ac2HoSn3 with its simulated powder diffraction line list. Radiation: a wavelength of 1.5418 Å. Structure: a cell relaxed with PBE.
Intensities are scaled so that the largest is 100.

Structure:
abc: 9.0192 9.0192 7.7139
angles: 102.34 102.34 43.37
Positions (direct):
Ac 0.1676 0.1707 0.0844
Ac 0.1707 0.1676 0.5844
Ac 0.8293 0.8324 0.4156
Ac 0.8324 0.8293 0.9156
Ho 0.4966 0.5034 0.2500
Ho 0.5034 0.4966 0.7500
Sn 0.0040 0.9960 0.7500
Sn 0.3430 0.3461 0.4220
Sn 0.3461 0.3430 0.9220
Sn 0.6539 0.6570 0.0780
Sn 0.6570 0.6539 0.5780
Sn 0.9960 0.0040 0.2500

Largest 12 diffraction maxima, low angle first, 2θ = 10–90°:
2θ/deg, d_spacing, intensity
21.1, 4.213, 13
26.7, 3.333, 66
28.4, 3.146, 100
32.9, 2.719, 33
39.4, 2.288, 85
42.9, 2.107, 37
47.1, 1.928, 15
55.0, 1.669, 17
56.1, 1.640, 14
58.7, 1.573, 15
63.2, 1.472, 41
65.7, 1.422, 28

Entry 6:
This entry pairs a crystal structure of Ac3HoSn6 with its simulated powder diffraction line list. Radiation: a wavelength of 1.5418 Å. Structure: a cell relaxed with PBE.
Intensities are scaled so that the largest is 100.

Structure:
abc: 8.7026 8.7026 8.7026
angles: 97.28 97.28 97.28
Positions (direct):
Ac 0.1816 0.7500 0.3184
Ac 0.2500 0.6816 0.8184
Ac 0.3184 0.1816 0.7500
Ac 0.6816 0.8184 0.2500
Ac 0.7500 0.3184 0.1816
Ac 0.8184 0.2500 0.6816
Ho 0.0000 0.0000 0.0000
Ho 0.5000 0.5000 0.5000
Sn 0.0138 0.0882 0.3644
Sn 0.0882 0.3644 0.0138
Sn 0.1356 0.4118 0.4862
Sn 0.3644 0.0138 0.0882
Sn 0.4118 0.4862 0.1356
Sn 0.4862 0.1356 0.4118
Sn 0.5138 0.8644 0.5882
Sn 0.5882 0.5138 0.8644
Sn 0.6356 0.9862 0.9118
Sn 0.8644 0.5882 0.5138
Sn 0.9118 0.6356 0.9862
Sn 0.9862 0.9118 0.6356

Largest 12 diffraction maxima, low angle first, 2θ = 10–90°:
2θ/deg, d_spacing, intensity
24.6, 3.616, 16
28.5, 3.129, 8
29.3, 3.050, 64
31.7, 2.825, 100
40.6, 2.225, 14
42.1, 2.146, 16
44.0, 2.060, 7
46.7, 1.946, 9
46.8, 1.940, 12
50.4, 1.812, 13
57.5, 1.603, 11
60.2, 1.537, 10

Entry 7:
This entry pairs a crystal structure of AcHo2Zn2Sn2 with its simulated powder diffraction line list. Radiation: a wavelength of 1.5418 Å. Structure: a cell relaxed with PBE.
Intensities are scaled so that the largest is 100.

Structure:
abc: 9.9109 9.9109 9.9109
angles: 27.84 27.84 27.84
Positions (direct):
Ac 0.0000 0.0000 0.0000
Ho 0.1340 0.1340 0.1340
Ho 0.8660 0.8660 0.8660
Zn 0.4299 0.4299 0.4299
Zn 0.5701 0.5701 0.5701
Sn 0.2590 0.2590 0.2590
Sn 0.7410 0.7410 0.7410

Largest 12 diffraction maxima, low angle first, 2θ = 10–90°:
2θ/deg, d_spacing, intensity
21.7, 4.087, 35
30.8, 2.902, 100
33.2, 2.701, 51
37.7, 2.384, 90
47.7, 1.905, 15
49.5, 1.842, 27
51.1, 1.787, 16
56.1, 1.639, 15
62.4, 1.488, 17
63.9, 1.458, 25
65.2, 1.430, 15
68.1, 1.376, 16

Entry 8:
This entry pairs a crystal structure of AcTb6Ho3 with its simulated powder diffraction line list. Radiation: a wavelength of 1.5418 Å. Structure: a cell relaxed with PBE.
Intensities are scaled so that the largest is 100.

Structure:
abc: 9.1032 9.1032 8.9967
angles: 90.00 90.00 116.48
Positions (direct):
Ac 0.2211 0.7789 0.5000
Ac 0.7789 0.2211 0.0000
Tb 0.0481 0.9519 0.2609
Tb 0.1768 0.4695 0.7560
Tb 0.2000 0.3157 0.0855
Tb 0.2838 0.7161 0.1250
Tb 0.3157 0.2000 0.5855
Tb 0.4695 0.1768 0.2560
Tb 0.5305 0.8232 0.7560
Tb 0.6843 0.8000 0.0855
Tb 0.7161 0.2838 0.6250
Tb 0.8000 0.6843 0.5855
Tb 0.8232 0.5305 0.2560
Tb 0.9519 0.0481 0.7609
Ho 0.0325 0.3136 0.4143
Ho 0.3136 0.0325 0.9143
Ho 0.4497 0.5503 0.3943
Ho 0.5503 0.4497 0.8943
Ho 0.6864 0.9675 0.4143
Ho 0.9675 0.6864 0.9143

Largest 12 diffraction maxima, low angle first, 2θ = 10–90°:
2θ/deg, d_spacing, intensity
27.9, 3.197, 39
29.6, 3.017, 91
30.2, 2.955, 56
30.5, 2.934, 12
31.3, 2.855, 63
32.0, 2.798, 100
34.9, 2.568, 22
36.2, 2.480, 18
49.9, 1.826, 16
54.4, 1.685, 19
55.1, 1.668, 17
59.4, 1.556, 12